Record 1
Calculated powder diffractogram
Compound: Dy3Ni11Ge4
Radiation: Cu Ka
Structure: DFT lattice parameters and positions (PBE)
Kinematic intensities with the Lorentz-polarization factor, no thermal factor.

Structure:
```
Dy3Ni11Ge4
1.0
8.3170 0.0000 0.0000
-4.1585 7.2028 0.0000
0.0000 0.0000 8.5649
Dy Ni Ge
6 22 8
direct
0.1955 0.3909 0.2500
0.1955 0.8045 0.2500
0.3909 0.1955 0.7500
0.6091 0.8045 0.2500
0.8045 0.1955 0.7500
0.8045 0.6091 0.7500
0.1311 0.5655 0.7500
0.1585 0.3169 0.5948
0.1585 0.3169 0.9052
0.1585 0.8415 0.5948
0.1585 0.8415 0.9052
0.3169 0.1585 0.0948
0.3169 0.1585 0.4052
0.3333 0.6667 0.5039
0.3333 0.6667 0.9961
0.4345 0.5655 0.7500
0.4345 0.8689 0.7500
0.5655 0.1311 0.2500
0.5655 0.4345 0.2500
0.6667 0.3333 0.0039
0.6667 0.3333 0.4961
0.6831 0.8415 0.5948
0.6831 0.8415 0.9052
0.8415 0.1585 0.0948
0.8415 0.1585 0.4052
0.8415 0.6831 0.0948
0.8415 0.6831 0.4052
0.8689 0.4345 0.2500
0.0000 0.0000 0.2500
0.0000 0.0000 0.7500
0.0000 0.5000 0.0000
0.0000 0.5000 0.5000
0.5000 0.0000 0.0000
0.5000 0.0000 0.5000
0.5000 0.5000 0.0000
0.5000 0.5000 0.5000
```

Peak list (6 most intense, 2θ = 10–90°, sorted by position)
- 26.86 deg, intensity 24
- 38.96 deg, intensity 58
- 39.21 deg, intensity 76
- 40.31 deg, intensity 100
- 43.53 deg, intensity 93
- 49.59 deg, intensity 23



Record 2
Calculated powder diffractogram
Compound: DyNiGe2
Radiation: Cu Ka
Structure: DFT lattice parameters and positions (PBE)
Kinematic intensities with the Lorentz-polarization factor, no thermal factor.

Structure:
```
DyNiGe2
1.0
-2.0919 4.2723 7.9515
2.0919 -4.2723 7.9515
2.0919 4.2723 -7.9515
Dy Ni Ge
4 4 8
direct
0.2050 0.2050 0.0000
0.2344 0.0000 0.2344
0.7656 0.0000 0.7656
0.7950 0.7950 0.0000
0.1007 0.3512 0.7495
0.3984 0.6488 0.7495
0.6016 0.3512 0.2505
0.8993 0.6488 0.2505
0.0774 0.5774 0.5000
0.1474 0.8049 0.3425
0.4196 0.4196 0.0000
0.4624 0.8049 0.6575
0.5376 0.1951 0.3425
0.5804 0.5804 0.0000
0.8526 0.1951 0.6575
0.9226 0.4226 0.5000
```

Peak list (6 most intense, 2θ = 10–90°, sorted by position)
- 30.43 deg, intensity 30
- 34.44 deg, intensity 81
- 35.45 deg, intensity 100
- 35.79 deg, intensity 23
- 39.98 deg, intensity 72
- 43.25 deg, intensity 46



Record 3
Calculated powder diffractogram
Compound: Dy2Ge2O7
Radiation: Cu Ka
Structure: DFT lattice parameters and positions (PBE)
Kinematic intensities with the Lorentz-polarization factor, no thermal factor.

Structure:
```
Dy2Ge2O7
1.0
6.8197 0.0000 0.0000
-0.2221 6.8413 0.0000
-0.4261 -1.0584 12.3708
Dy Ge O
8 8 28
direct
0.0492 0.3327 0.1124
0.1116 0.0912 0.3574
0.3138 0.8338 0.1165
0.3750 0.2106 0.6315
0.6250 0.7894 0.3685
0.6862 0.1662 0.8835
0.8884 0.9088 0.6426
0.9508 0.6673 0.8876
0.1390 0.6223 0.3769
0.1667 0.1428 0.8851
0.3886 0.7238 0.5998
0.4850 0.6619 0.8333
0.5150 0.3381 0.1667
0.6114 0.2762 0.4002
0.8333 0.8572 0.1149
0.8610 0.3777 0.6231
0.0019 0.6652 0.0809
0.0103 0.0229 0.1842
0.0458 0.2180 0.5760
0.0652 0.4026 0.3024
0.2239 0.9100 0.6269
0.2440 0.0950 0.0160
0.2864 0.7948 0.3105
0.2876 0.7143 0.9162
0.2985 0.5586 0.4859
0.3421 0.4964 0.1181
0.3675 0.2083 0.8118
0.3929 0.1374 0.2212
0.3964 0.5439 0.6967
0.4031 0.1571 0.4496
0.5969 0.8429 0.5504
0.6036 0.4561 0.3033
0.6071 0.8626 0.7788
0.6325 0.7917 0.1882
0.6579 0.5036 0.8819
0.7015 0.4414 0.5141
0.7124 0.2857 0.0838
0.7136 0.2052 0.6895
0.7560 0.9050 0.9840
0.7761 0.0900 0.3731
0.9348 0.5974 0.6976
0.9542 0.7820 0.4240
0.9897 0.9771 0.8158
0.9981 0.3348 0.9191
```

Peak list (6 most intense, 2θ = 10–90°, sorted by position)
- 26.16 deg, intensity 25
- 28.81 deg, intensity 36
- 28.87 deg, intensity 100
- 29.47 deg, intensity 39
- 29.75 deg, intensity 25
- 31.13 deg, intensity 30



Record 4
Calculated powder diffractogram
Compound: Dy3GeO8
Radiation: Cu Ka
Structure: DFT lattice parameters and positions (PBE)
Kinematic intensities with the Lorentz-polarization factor, no thermal factor.

Structure:
```
Dy3GeO8
1.0
5.4217 0.0000 0.0000
0.0000 10.3429 0.0000
-1.5748 0.0000 5.8808
Dy Ge O
6 2 16
direct
0.1870 0.0440 0.3007
0.1870 0.4560 0.3007
0.2829 0.2500 0.8117
0.7171 0.7500 0.1883
0.8130 0.5440 0.6993
0.8130 0.9560 0.6993
0.3070 0.7500 0.5162
0.6930 0.2500 0.4838
0.0425 0.6311 0.4666
0.0425 0.8689 0.4666
0.0955 0.2500 0.1144
0.1987 0.0310 0.9343
0.1987 0.4690 0.9343
0.4775 0.7500 0.8146
0.4880 0.6255 0.3918
0.4880 0.8745 0.3918
0.5120 0.1255 0.6082
0.5120 0.3745 0.6082
0.5225 0.2500 0.1853
0.8013 0.5310 0.0657
0.8013 0.9690 0.0657
0.9045 0.7500 0.8856
0.9575 0.1311 0.5334
0.9575 0.3689 0.5334
```

Peak list (6 most intense, 2θ = 10–90°, sorted by position)
- 18.99 deg, intensity 56
- 26.13 deg, intensity 100
- 30.05 deg, intensity 60
- 30.78 deg, intensity 36
- 30.92 deg, intensity 99
- 53.66 deg, intensity 36



Record 5
Calculated powder diffractogram
Compound: Dy2GeO5
Radiation: Cu Ka
Structure: DFT lattice parameters and positions (PBE)
Kinematic intensities with the Lorentz-polarization factor, no thermal factor.

Structure:
```
Dy2GeO5
1.0
7.4919 -3.4513 0.0000
7.4919 3.4513 0.0000
-5.5671 0.0000 8.9690
Dy Ge O
8 4 20
direct
0.0119 0.2638 0.8379
0.2065 0.7229 0.5339
0.2638 0.0119 0.3379
0.2771 0.7935 0.9661
0.7229 0.2065 0.0339
0.7362 0.9881 0.6621
0.7935 0.2771 0.4661
0.9881 0.7362 0.1621
0.2209 0.4093 0.6919
0.4093 0.2209 0.1919
0.5907 0.7791 0.8081
0.7791 0.5907 0.3081
0.0412 0.3502 0.6757
0.0807 0.8866 0.1033
0.0856 0.6802 0.6754
0.1134 0.9193 0.3967
0.2191 0.3716 0.0552
0.3198 0.9144 0.8246
0.3502 0.0412 0.1757
0.3716 0.2191 0.5552
0.4091 0.4231 0.8675
0.4231 0.4091 0.3675
0.5769 0.5909 0.6325
0.5909 0.5769 0.1325
0.6284 0.7809 0.4448
0.6498 0.9588 0.8243
0.6802 0.0856 0.1754
0.7809 0.6284 0.9448
0.8866 0.0807 0.6033
0.9144 0.3198 0.3246
0.9193 0.1134 0.8967
0.9588 0.6498 0.3243
```

Peak list (6 most intense, 2θ = 10–90°, sorted by position)
- 22.00 deg, intensity 44
- 24.30 deg, intensity 50
- 27.69 deg, intensity 60
- 28.97 deg, intensity 73
- 29.81 deg, intensity 100
- 33.71 deg, intensity 44



Record 6
Calculated powder diffractogram
Compound: Dy2Ge2O7
Radiation: Cu Ka
Structure: DFT lattice parameters and positions (PBE)
Kinematic intensities with the Lorentz-polarization factor, no thermal factor.

Structure:
```
Dy2Ge2O7
1.0
4.9972 0.0000 0.0000
0.0000 11.0952 0.0000
-0.5772 0.0000 5.6561
Dy Ge O
4 4 14
direct
0.1114 0.1490 0.4018
0.1114 0.3510 0.9018
0.8886 0.6490 0.0982
0.8886 0.8510 0.5982
0.3597 0.6192 0.6535
0.3597 0.8808 0.1535
0.6403 0.1192 0.8465
0.6403 0.3808 0.3465
0.1135 0.6902 0.4561
0.1135 0.8098 0.9561
0.2006 0.5507 0.8860
0.2006 0.9493 0.3860
0.3733 0.2116 0.7272
0.3733 0.2884 0.2272
0.5000 0.0000 0.0000
0.5000 0.5000 0.5000
0.6267 0.7116 0.7728
0.6267 0.7884 0.2728
0.7994 0.0507 0.6140
0.7994 0.4493 0.1140
0.8865 0.1902 0.0439
0.8865 0.3098 0.5439
```

Peak list (6 most intense, 2θ = 10–90°, sorted by position)
- 26.30 deg, intensity 60
- 27.78 deg, intensity 100
- 32.27 deg, intensity 22
- 32.68 deg, intensity 29
- 34.99 deg, intensity 27
- 37.07 deg, intensity 22



Record 7
Calculated powder diffractogram
Compound: Dy2Ge2O7
Radiation: Cu Ka
Structure: DFT lattice parameters and positions (PBE)
Kinematic intensities with the Lorentz-polarization factor, no thermal factor.

Structure:
```
Dy2Ge2O7
1.0
0.0000 5.0118 5.0118
5.0118 0.0000 5.0118
5.0118 5.0118 0.0000
Dy Ge O
4 4 14
direct
0.0000 0.0000 0.0000
0.0000 0.0000 0.5000
0.0000 0.5000 0.0000
0.5000 0.0000 0.0000
0.0000 0.5000 0.5000
0.5000 0.0000 0.5000
0.5000 0.5000 0.0000
0.5000 0.5000 0.5000
0.1250 0.1250 0.1250
0.1720 0.1720 0.5780
0.1720 0.5780 0.1720
0.1720 0.5780 0.5780
0.4220 0.4220 0.8280
0.4220 0.8280 0.4220
0.4220 0.8280 0.8280
0.5780 0.1720 0.1720
0.5780 0.1720 0.5780
0.5780 0.5780 0.1720
0.8280 0.4220 0.4220
0.8280 0.4220 0.8280
0.8280 0.8280 0.4220
0.8750 0.8750 0.8750
```

Peak list (6 most intense, 2θ = 10–90°, sorted by position)
- 30.90 deg, intensity 100
- 35.83 deg, intensity 32
- 51.58 deg, intensity 46
- 61.35 deg, intensity 42
- 84.21 deg, intensity 17
- 86.93 deg, intensity 15



Record 8
Calculated powder diffractogram
Compound: Dy2Ge2O5
Radiation: Cu Ka
Structure: DFT lattice parameters and positions (PBE)
Kinematic intensities with the Lorentz-polarization factor, no thermal factor.

Structure:
```
Dy2Ge2O5
1.0
3.6854 0.0000 0.0000
0.0000 3.6854 0.0000
0.0000 0.0000 9.4285
Dy Ge O
2 2 5
direct
0.0000 0.0000 0.2474
0.0000 0.0000 0.7526
0.5000 0.5000 0.0000
0.5000 0.5000 0.5000
0.0000 0.0000 0.0000
0.0000 0.5000 0.3715
0.0000 0.5000 0.6285
0.5000 0.0000 0.3715
0.5000 0.0000 0.6285
```

Peak list (6 most intense, 2θ = 10–90°, sorted by position)
- 24.15 deg, intensity 16
- 30.80 deg, intensity 100
- 34.41 deg, intensity 32
- 49.46 deg, intensity 19
- 52.34 deg, intensity 32
- 59.41 deg, intensity 31



Record 9
Calculated powder diffractogram
Compound: Dy2Ge2O7
Radiation: Cu Ka
Structure: DFT lattice parameters and positions (PBE)
Kinematic intensities with the Lorentz-polarization factor, no thermal factor.

Structure:
```
Dy2Ge2O7
1.0
6.8714 0.0000 0.0000
0.0000 6.8714 0.0000
0.0000 0.0000 12.5182
Dy Ge O
8 8 28
direct
0.1246 0.3533 0.1146
0.1467 0.6246 0.3646
0.3533 0.1246 0.8854
0.3754 0.8533 0.1354
0.6246 0.1467 0.6354
0.6467 0.8754 0.3854
0.8533 0.3754 0.8646
0.8754 0.6467 0.6146
0.0993 0.1516 0.6310
0.1516 0.0993 0.3690
0.3484 0.5993 0.8810
0.4007 0.6516 0.6190
0.5993 0.3484 0.1190
0.6516 0.4007 0.3810
0.8484 0.9007 0.8690
0.9007 0.8484 0.1310
0.0316 0.0786 0.8728
0.0636 0.6619 0.1791
0.0786 0.0316 0.1272
0.1436 0.3164 0.2946
0.1619 0.4364 0.9291
0.1836 0.6436 0.5446
0.1967 0.1967 0.5000
0.3033 0.6967 0.7500
0.3164 0.1436 0.7054
0.3381 0.9364 0.3209
0.3564 0.8164 0.9554
0.4214 0.5316 0.1228
0.4364 0.1619 0.0709
0.4684 0.5786 0.3772
0.5316 0.4214 0.8772
0.5636 0.8381 0.5709
0.5786 0.4684 0.6228
0.6436 0.1836 0.4554
0.6619 0.0636 0.8209
0.6836 0.8564 0.2054
0.6967 0.3033 0.2500
0.8033 0.8033 0.0000
0.8164 0.3564 0.0446
0.8381 0.5636 0.4291
0.8564 0.6836 0.7946
0.9214 0.9684 0.6272
0.9364 0.3381 0.6791
0.9684 0.9214 0.3728
```

Peak list (6 most intense, 2θ = 10–90°, sorted by position)
- 14.71 deg, intensity 42
- 26.91 deg, intensity 81
- 28.52 deg, intensity 76
- 29.94 deg, intensity 47
- 32.46 deg, intensity 100
- 33.79 deg, intensity 42



Question: Which formula does entry 4 have?
Answer: Dy3GeO8